For Pr9Sm3Dy2, a PBE-relaxed structure gives the simulated XRD peak list in this record (copper Kα).
Neutral-atom scattering factors, no anomalous dispersion.

Structure:
a = 9.1873 Å, b = 9.1873 Å, c = 14.0428 Å
α = 90.00°, β = 90.00°, γ = 120.00°
Space group P6_3/m (No. 176)
Inequivalent atoms, fractional coordinates:
Pr  0.0792  0.4802  0.2500 x6
Pr  0.1317  0.7254  0.0408 x12
Sm  0.0813  0.2507  0.7500 x6
Dy  0.3333  0.6667  0.6425 x4

Largest 8 diffraction maxima, low angle first, 10° ≤ 2θ ≤ 80°:
2θ (°)  I_rel
25.37  24.2
29.47  42.9
30.40  83.2
32.09  24.4
32.39  100.0
33.85  28.9
35.48  24.4
52.73  52.9